Starting from DFT lattice parameters and positions (PBE), the powder X-ray diffraction pattern of Tb2In8Co was computed for a wavelength of 1.5418 Å.
Intensities are scaled so that the largest is 100.

Largest 10 diffraction maxima, in order of rising 2θ, 2θ from 5° to 70°:
hkl 1 1 2, 31.05 deg, intensity 48.9
hkl 1 1 3, 35.35 deg, intensity 100.0
hkl 0 0 5, 37.39 deg, intensity 22.8
hkl 2 0 0, 38.82 deg, intensity 58.6
hkl 2 0 5, 54.99 deg, intensity 29.2
hkl 2 2 0, 56.06 deg, intensity 19.6
hkl 3 1 2, 65.48 deg, intensity 11.2
hkl 3 1 3, 68.04 deg, intensity 28.3
hkl 1 1 8, 68.68 deg, intensity 15.8
hkl 2 2 5, 69.34 deg, intensity 14.4

Structure:
Lattice parameters (Å, degrees): 4.6400 4.6400 12.0261 90.00 90.00 90.00
Space group P4/mmm (No. 123)
One atom of each set of equivalent atoms:
Tb  0.0000  0.0000  0.1940 [2 per cell]
In  0.0000  0.5000  0.0000 [2 per cell]
In  0.0000  0.5000  0.3807 [4 per cell]
In  0.5000  0.5000  0.1952 [2 per cell]
Co  0.0000  0.0000  0.5000 [1 per cell]